1.
Diffraction record for Nd3Al2Ag3. The powder diffractogram is computed, not measured: it uses a DFT-relaxed cell (GGA-PBE, Alexandria) and copper Kα.
Kinematic intensities with the Lorentz-polarization factor, no thermal factor.

The 10 most intense peaks (2θ from 10° to 90°), by intensity:
2theta  Rel. int.
32.3  100
30.9  89
34.6  70
29.3  64
35.1  61
36.7  60
45.3  39
39.8  36
32.9  31
26.5  30

Structural model:
```
Nd3Al2Ag3
1.0
8.517 0.000 0.000
0.000 15.757 0.000
0.000 0.000 5.852
Nd Al Ag
12 8 12
Direct
0.050 0.107 0.132
0.050 0.393 0.132
0.187 0.250 0.622
0.313 0.750 0.122
0.450 0.607 0.632
0.450 0.893 0.632
0.550 0.107 0.368
0.550 0.393 0.368
0.687 0.250 0.878
0.813 0.750 0.378
0.950 0.607 0.868
0.950 0.893 0.868
0.101 0.603 0.370
0.101 0.897 0.370
0.399 0.103 0.870
0.399 0.397 0.870
0.601 0.603 0.130
0.601 0.897 0.130
0.899 0.103 0.630
0.899 0.397 0.630
0.164 0.750 0.613
0.187 0.037 0.613
0.187 0.463 0.613
0.313 0.537 0.113
0.313 0.963 0.113
0.336 0.250 0.113
0.664 0.750 0.887
0.687 0.037 0.887
0.687 0.463 0.887
0.813 0.537 0.387
0.813 0.963 0.387
0.836 0.250 0.387
```



2.
Diffraction record for Pm4Mg5Au2. The powder diffractogram is computed, not measured: it uses a DFT-relaxed cell (GGA-PBE, Alexandria) and copper Kα.
Kinematic intensities with the Lorentz-polarization factor, no thermal factor.

The 10 most intense peaks (2θ from 10° to 90°), by intensity:
2theta  Rel. int.
11.1  100
32.4  36
33.4  35
35.9  33
37.2  32
13.7  28
35.4  24
31.8  23
36.0  22
34.8  20

Structural model:
```
Pm4Mg5Au2
1.0
7.958 0.000 0.000
0.000 3.646 0.000
-0.541 0.000 10.328
Pm Mg Au
4 5 2
Direct
0.159 0.000 0.369
0.240 0.000 0.949
0.760 0.000 0.051
0.841 0.000 0.631
0.196 0.500 0.662
0.439 0.500 0.195
0.500 0.500 0.500
0.561 0.500 0.805
0.804 0.500 0.338
0.062 0.500 0.142
0.938 0.500 0.858
```



3.
Diffraction record for Nd2Sm5HoSc. The powder diffractogram is computed, not measured: it uses a DFT-relaxed cell (GGA-PBE, Alexandria) and copper Kα.
Kinematic intensities with the Lorentz-polarization factor, no thermal factor.

The 10 most intense peaks (2θ from 10° to 90°), by intensity:
2theta  Rel. int.
30.1  100
28.5  59
29.9  53
38.8  29
53.2  25
33.5  25
47.2  17
40.0  16
32.2  12
43.4  12

Structural model:
```
Nd2Sm5HoSc
1.0
-4.231 4.231 8.333
4.231 -4.231 8.333
4.231 4.231 -8.333
Nd Sm Ho Sc
4 10 2 2
Direct
0.124 0.624 0.747
0.376 0.124 0.500
0.624 0.876 0.500
0.876 0.376 0.253
0.000 0.000 0.000
0.071 0.139 0.500
0.139 0.639 0.068
0.361 0.429 0.500
0.429 0.929 0.068
0.500 0.500 0.000
0.571 0.071 0.932
0.639 0.571 0.500
0.861 0.361 0.932
0.929 0.861 0.500
0.250 0.250 0.000
0.750 0.750 0.000
0.250 0.750 0.500
0.750 0.250 0.500
```



4.
Diffraction record for CaLaAsSe. The powder diffractogram is computed, not measured: it uses a DFT-relaxed cell (GGA-PBE, Alexandria) and copper Kα.
Kinematic intensities with the Lorentz-polarization factor, no thermal factor.

The 10 most intense peaks (2θ from 10° to 90°), by intensity:
2theta  Rel. int.
29.2  100
41.6  38
42.0  36
51.7  20
12.7  17
68.4  17
69.0  16
24.1  13
76.2  12
60.6  12

Structural model:
```
CaLaAsSe
1.0
2.170 1.253 6.990
-2.170 1.253 6.990
0.000 -2.506 6.990
Ca La As Se
1 1 1 1
Direct
0.000 0.000 0.000
0.493 0.493 0.493
0.748 0.748 0.748
0.248 0.248 0.248
```